Computed powder X-ray diffraction pattern
Compound: Dy3Ge13Os4
Radiation: Cu Kα (weighted mean of Kα1 and Kα2)
Structure: a structure optimized by DFT (PBE)
Peak positions follow from Bragg's law for the DFT cell and can differ from measured ones.

Structure:
abc: 9.0834 9.0834 9.0834
angles: 90.00 90.00 90.00
Fractional coordinates of all 40 atoms:
Dy1 0.0000 0.2500 0.5000
Dy2 0.0000 0.7500 0.5000
Dy3 0.2500 0.5000 0.0000
Dy4 0.5000 0.0000 0.2500
Dy5 0.5000 0.0000 0.7500
Dy6 0.7500 0.5000 0.0000
Ge1 0.0000 0.0000 0.0000
Ge2 0.0000 0.2981 0.1454
Ge3 0.0000 0.2981 0.8546
Ge4 0.0000 0.7019 0.1454
Ge5 0.0000 0.7019 0.8546
Ge6 0.1454 0.0000 0.2981
Ge7 0.1454 0.0000 0.7019
Ge8 0.2019 0.5000 0.3546
Ge9 0.2019 0.5000 0.6454
Ge10 0.2981 0.1454 0.0000
Ge11 0.2981 0.8546 0.0000
Ge12 0.3546 0.2019 0.5000
Ge13 0.3546 0.7981 0.5000
Ge14 0.5000 0.3546 0.2019
Ge15 0.5000 0.3546 0.7981
Ge16 0.5000 0.5000 0.5000
Ge17 0.5000 0.6454 0.2019
Ge18 0.5000 0.6454 0.7981
Ge19 0.6454 0.2019 0.5000
Ge20 0.6454 0.7981 0.5000
Ge21 0.7019 0.1454 0.0000
Ge22 0.7019 0.8546 0.0000
Ge23 0.7981 0.5000 0.3546
Ge24 0.7981 0.5000 0.6454
Ge25 0.8546 0.0000 0.2981
Ge26 0.8546 0.0000 0.7019
Os1 0.2500 0.2500 0.2500
Os2 0.2500 0.2500 0.7500
Os3 0.2500 0.7500 0.2500
Os4 0.2500 0.7500 0.7500
Os5 0.7500 0.2500 0.2500
Os6 0.7500 0.2500 0.7500
Os7 0.7500 0.7500 0.2500
Os8 0.7500 0.7500 0.7500

The 10 most intense peaks (10 to 90 degrees two-theta), sorted by position:
two_theta, I_rel
19.55, 48
27.78, 23
34.20, 53
35.64, 100
37.03, 38
39.69, 60
44.61, 35
49.14, 52
57.38, 22
68.52, 38

Computed powder X-ray diffraction pattern
Compound: DyGe2Pd2
Radiation: Cu Kα (weighted mean of Kα1 and Kα2)
Structure: a structure optimized by DFT (PBE)
Peak positions follow from Bragg's law for the DFT cell and can differ from measured ones.

Structure:
abc: 5.9101 5.9101 5.9101
angles: 137.49 137.49 61.69
Fractional coordinates of all 5 atoms:
Dy1 0.0000 0.0000 0.0000
Ge1 0.3798 0.3798 0.0000
Ge2 0.6202 0.6202 0.0000
Pd1 0.2500 0.7500 0.5000
Pd2 0.7500 0.2500 0.5000

The 10 most intense peaks (10 to 90 degrees two-theta), sorted by position:
two_theta, I_rel
33.76, 47
34.47, 100
42.18, 53
49.70, 19
55.08, 23
61.17, 17
62.93, 14
67.18, 15
72.15, 23
89.86, 12

Computed powder X-ray diffraction pattern
Compound: DyGe2Pd
Radiation: Cu Kα (weighted mean of Kα1 and Kα2)
Structure: a structure optimized by DFT (PBE)
Peak positions follow from Bragg's law for the DFT cell and can differ from measured ones.

Structure:
abc: 9.6094 9.6094 9.6094
angles: 154.08 125.25 61.54
Fractional coordinates of all 16 atoms:
Dy1 0.2030 0.2030 0.0000
Dy2 0.2368 0.0000 0.2368
Dy3 0.7632 0.0000 0.7632
Dy4 0.7970 0.7970 0.0000
Ge1 0.0745 0.5745 0.5000
Ge2 0.1501 0.8010 0.3491
Ge3 0.4248 0.4248 0.0000
Ge4 0.4519 0.8010 0.6509
Ge5 0.5481 0.1990 0.3491
Ge6 0.5752 0.5752 0.0000
Ge7 0.8499 0.1990 0.6509
Ge8 0.9255 0.4255 0.5000
Pd1 0.1028 0.3532 0.7496
Pd2 0.3964 0.6468 0.7496
Pd3 0.6036 0.3532 0.2504
Pd4 0.8972 0.6468 0.2504

The 10 most intense peaks (10 to 90 degrees two-theta), sorted by position:
two_theta, I_rel
33.29, 100
34.20, 76
34.53, 16
38.56, 56
40.85, 20
41.91, 42
48.69, 16
54.32, 22
58.24, 18
69.60, 27

Computed powder X-ray diffraction pattern
Compound: Dy3Ge6Pt4
Radiation: Cu Kα (weighted mean of Kα1 and Kα2)
Structure: a structure optimized by DFT (PBE)
Peak positions follow from Bragg's law for the DFT cell and can differ from measured ones.

Structure:
abc: 26.2464 4.3466 8.8043
angles: 90.00 90.00 90.00
Fractional coordinates of all 52 atoms:
Dy1 0.0931 0.2500 0.1133
Dy2 0.0941 0.2500 0.6354
Dy3 0.2197 0.2500 0.8747
Dy4 0.2803 0.7500 0.3747
Dy5 0.4059 0.7500 0.1354
Dy6 0.4069 0.7500 0.6133
Dy7 0.5931 0.2500 0.3867
Dy8 0.5941 0.2500 0.8646
Dy9 0.7197 0.2500 0.6253
Dy10 0.7803 0.7500 0.1253
Dy11 0.9059 0.7500 0.3646
Dy12 0.9069 0.7500 0.8867
Ge1 0.0015 0.2500 0.3783
Ge2 0.0030 0.7500 0.1288
Ge3 0.1386 0.7500 0.8740
Ge4 0.1425 0.7500 0.3731
Ge5 0.2161 0.2500 0.2271
Ge6 0.2165 0.2500 0.5227
Ge7 0.2835 0.7500 0.0227
Ge8 0.2839 0.7500 0.7271
Ge9 0.3575 0.2500 0.8731
Ge10 0.3614 0.2500 0.3740
Ge11 0.4970 0.2500 0.6288
Ge12 0.4985 0.7500 0.8783
Ge13 0.5015 0.2500 0.1217
Ge14 0.5030 0.7500 0.3712
Ge15 0.6386 0.7500 0.6260
Ge16 0.6425 0.7500 0.1269
Ge17 0.7161 0.2500 0.2729
Ge18 0.7165 0.2500 0.9773
Ge19 0.7835 0.7500 0.4773
Ge20 0.7839 0.7500 0.7729
Ge21 0.8575 0.2500 0.6269
Ge22 0.8614 0.2500 0.1260
Ge23 0.9970 0.2500 0.8712
Ge24 0.9985 0.7500 0.6217
Pt1 0.0449 0.7500 0.8707
Pt2 0.0504 0.7500 0.3791
Pt3 0.1873 0.7500 0.1223
Pt4 0.1874 0.7500 0.6262
Pt5 0.3126 0.2500 0.1262
Pt6 0.3127 0.2500 0.6223
Pt7 0.4496 0.2500 0.8791
Pt8 0.4551 0.2500 0.3707
Pt9 0.5449 0.7500 0.6293
Pt10 0.5504 0.7500 0.1209
Pt11 0.6873 0.7500 0.3777
Pt12 0.6874 0.7500 0.8738
Pt13 0.8126 0.2500 0.3738
Pt14 0.8127 0.2500 0.8777
Pt15 0.9496 0.2500 0.6209
Pt16 0.9551 0.2500 0.1293

The 10 most intense peaks (10 to 90 degrees two-theta), sorted by position:
two_theta, I_rel
29.07, 28
33.63, 100
34.24, 56
36.97, 41
41.00, 34
41.55, 48
49.68, 18
53.21, 16
56.82, 23
59.80, 22